[1]
Computed powder XRD pattern of Li3MgNp2Se6 for λ = 1.5418 Å (Cu Kα), from a structure optimized by DFT (PBE).
Peak positions follow from Bragg's law for the DFT cell and can differ from measured ones.

Main lines, in order of rising 2θ (2θ from 10° to 90°):
Position (°2θ), Rel. int.
10.47, 21
13.69, 81
25.91, 37
26.16, 19
31.55, 100
31.76, 49
34.54, 20
44.77, 19
45.24, 36
45.53, 36
45.68, 17
55.93, 20

Crystal structure
a b c (Å): 8.899 8.899 7.945
angles (deg): 102.43 102.43 26.30
Positions (direct):
Li  0.000  0.000  0.000
Li  0.337  0.337  0.669
Li  0.663  0.663  0.331
Mg  0.000  0.000  0.500
Np  0.338  0.338  0.178
Np  0.662  0.662  0.822
Se  0.167  0.167  0.574
Se  0.168  0.168  0.080
Se  0.497  0.497  0.742
Se  0.503  0.503  0.258
Se  0.832  0.832  0.920
Se  0.833  0.833  0.426

---

[2]
Computed powder XRD pattern of Li6MgO4 for λ = 1.5418 Å (Cu Kα), from a structure optimized by DFT (PBE).
Peak positions follow from Bragg's law for the DFT cell and can differ from measured ones.

Main lines, in order of rising 2θ (2θ from 10° to 90°):
Position (°2θ), Rel. int.
19.00, 6
23.26, 50
27.00, 6
33.18, 100
35.93, 17
45.52, 20
55.53, 53
55.67, 28
66.36, 14
67.81, 12
74.65, 7
82.65, 6

Crystal structure
a b c (Å): 6.604 6.604 4.692
angles (deg): 90.00 90.00 90.00
Positions (direct):
Li  0.033  0.533  0.250
Li  0.033  0.967  0.250
Li  0.250  0.250  0.202
Li  0.250  0.250  0.702
Li  0.467  0.533  0.250
Li  0.467  0.967  0.250
Li  0.533  0.033  0.750
Li  0.533  0.467  0.750
Li  0.750  0.750  0.298
Li  0.750  0.750  0.798
Li  0.967  0.033  0.750
Li  0.967  0.467  0.750
Mg  0.250  0.750  0.750
Mg  0.750  0.250  0.250
O  0.010  0.250  0.463
O  0.250  0.010  0.963
O  0.250  0.490  0.963
O  0.490  0.250  0.463
O  0.510  0.750  0.537
O  0.750  0.510  0.037
O  0.750  0.990  0.037
O  0.990  0.750  0.537

---

[3]
Computed powder XRD pattern of Li2MgP2O7 for λ = 1.5418 Å (Cu Kα), from a structure optimized by DFT (PBE).
Peak positions follow from Bragg's law for the DFT cell and can differ from measured ones.

Main lines, in order of rising 2θ (2θ from 10° to 90°):
Position (°2θ), Rel. int.
13.10, 24
20.85, 58
22.20, 100
26.37, 42
30.10, 35
35.69, 45
37.27, 16
44.91, 15
54.68, 14
56.62, 10
64.11, 20
66.67, 12

Crystal structure
a b c (Å): 7.358 7.358 7.358
angles (deg): 39.99 39.99 39.99
Positions (direct):
Li  0.245  0.245  0.245
Li  0.755  0.755  0.755
Mg  0.500  0.500  0.500
P  0.079  0.079  0.079
P  0.921  0.921  0.921
O  0.000  0.000  0.000
O  0.131  0.375  0.793
O  0.207  0.625  0.869
O  0.375  0.793  0.131
O  0.625  0.869  0.207
O  0.793  0.131  0.375
O  0.869  0.207  0.625

---

[4]
Computed powder XRD pattern of Li3MgPd3O8 for λ = 1.5418 Å (Cu Kα), from a structure optimized by DFT (PBE).
Peak positions follow from Bragg's law for the DFT cell and can differ from measured ones.

Main lines, in order of rising 2θ (2θ from 10° to 90°):
Position (°2θ), Rel. int.
17.82, 13
17.96, 100
33.68, 20
34.87, 35
36.08, 22
40.61, 22
42.66, 39
45.67, 12
56.44, 10
60.18, 13
60.55, 12
76.53, 9

Crystal structure
a b c (Å): 6.124 6.124 5.974
angles (deg): 118.83 118.83 58.82
Positions (direct):
Li  0.000  0.000  0.000
Li  0.000  0.500  0.500
Li  0.500  0.000  0.500
Mg  0.000  0.000  0.500
Pd  0.000  0.500  0.000
Pd  0.500  0.000  0.000
Pd  0.500  0.500  0.500
O  0.231  0.731  0.250
O  0.235  0.235  0.217
O  0.235  0.235  0.749
O  0.269  0.769  0.750
O  0.731  0.231  0.250
O  0.765  0.765  0.251
O  0.765  0.765  0.783
O  0.769  0.269  0.750